Record 1
Diffraction record for LaNd2Cu2Si4Pd2. The PXRD pattern is theoretical, not measured: it uses a PBE-relaxed structure and Cu Kα (λ = 1.5418 Å).
Peak positions follow from Bragg's law for the DFT cell and can differ from measured ones.

Cell and atoms:
a = 4.1902 Å, b = 4.2769 Å, c = 23.9198 Å
α = 90.00°, β = 90.00°, γ = 90.00°
Space group Immm (No. 71)
Inequivalent atoms, fractional coordinates:
1 La 0.0000 0.0000 0.0000 (multiplicity 2)
2 Nd 0.0000 0.5000 0.3523 (multiplicity 4)
3 Cu 0.0000 0.5000 0.0971 (multiplicity 4)
4 Si 0.0000 0.0000 0.4493 (multiplicity 4)
5 Si 0.0000 0.5000 0.1952 (multiplicity 4)
6 Pd 0.0000 0.0000 0.2492 (multiplicity 4)

The 8 most intense peaks (2θ = 15–90°), sorted by position:
3.709 Å, rel. 14, (1 0 3)
2.675 Å, rel. 100, (1 1 4)
2.138 Å, rel. 16, (0 2 0)
2.095 Å, rel. 15, (2 0 0)
1.648 Å, rel. 10, (2 1 7)
1.497 Å, rel. 10, (2 2 0)
1.338 Å, rel. 10, (1 1 16)
1.316 Å, rel. 15, (1 3 4)



Record 2
Diffraction record for NiS2. The PXRD pattern is theoretical, not measured: it uses a PBE-relaxed structure and Cu Kα (λ = 1.5418 Å).
Peak positions follow from Bragg's law for the DFT cell and can differ from measured ones.

Cell and atoms:
a = 3.4893 Å, b = 3.4893 Å, c = 15.1135 Å
α = 90.00°, β = 90.00°, γ = 120.00°
Space group R3m (No. 160, hexagonal axes)
Inequivalent atoms, fractional coordinates:
1 Ni 0.0000 0.0000 0.0000 (multiplicity 3)
2 S 0.0000 0.0000 0.5949 (multiplicity 3)
3 S 0.0000 0.0000 0.7383 (multiplicity 3)

The 8 most intense peaks (2θ = 15–90°), sorted by position:
5.038 Å, rel. 100, (0 0 3)
2.963 Å, rel. 48, (1 0 1)
2.806 Å, rel. 34, (0 1 2)
2.360 Å, rel. 35, (1 0 4)
2.137 Å, rel. 40, (0 1 5)
1.757 Å, rel. 30, (1 0 7)
1.745 Å, rel. 39, (1 1 0)
1.649 Å, rel. 24, (1 1 3)



Record 3
Diffraction record for PrNdGd2Zn12Ge6. The PXRD pattern is theoretical, not measured: it uses a PBE-relaxed structure and Cu Kα (λ = 1.5418 Å).
Peak positions follow from Bragg's law for the DFT cell and can differ from measured ones.

Cell and atoms:
a = 7.6440 Å, b = 4.0731 Å, c = 13.2441 Å
α = 90.00°, β = 90.01°, γ = 90.00°
Space group Pm (No. 6)
Inequivalent atoms, fractional coordinates:
1 Pr 0.0000 0.0000 0.0000 (multiplicity 1)
2 Nd 0.4999 0.0000 0.5000 (multiplicity 1)
3 Gd 0.0001 0.0000 0.3335 (multiplicity 1)
4 Gd 0.4999 0.0000 0.8331 (multiplicity 1)
5 Zn 0.0931 0.0000 0.5711 (multiplicity 1)
6 Zn 0.0969 0.0000 0.7606 (multiplicity 1)
7 Zn 0.2880 0.5000 0.6662 (multiplicity 1)
8 Zn 0.3103 0.0000 0.1682 (multiplicity 1)
9 Zn 0.3555 0.5000 0.0228 (multiplicity 1)
10 Zn 0.3566 0.5000 0.3110 (multiplicity 1)
11 Zn 0.5923 0.0000 0.0711 (multiplicity 1)
12 Zn 0.5969 0.0000 0.2610 (multiplicity 1)
13 Zn 0.7877 0.5000 0.1667 (multiplicity 1)
14 Zn 0.8101 0.0000 0.6678 (multiplicity 1)
15 Zn 0.8556 0.5000 0.5228 (multiplicity 1)
16 Zn 0.8562 0.5000 0.8106 (multiplicity 1)
17 Ge 0.1157 0.5000 0.1694 (multiplicity 1)
18 Ge 0.1893 0.5000 0.4734 (multiplicity 1)
19 Ge 0.1959 0.5000 0.8574 (multiplicity 1)
20 Ge 0.6154 0.5000 0.6685 (multiplicity 1)
21 Ge 0.6881 0.5000 0.9733 (multiplicity 1)
22 Ge 0.6953 0.5000 0.3580 (multiplicity 1)

The 8 most intense peaks (2θ = 15–90°), sorted by position:
2.787 Å, rel. 100, (2 1 0)
2.569 Å, rel. 15, (2 1 2)
2.502 Å, rel. 23, (2 0 4)
2.207 Å, rel. 32, (3 0 3)
2.132 Å, rel. 52, (2 1 4)
2.037 Å, rel. 24, (0 2 0)
1.497 Å, rel. 18, (3 2 3)
1.362 Å, rel. 21, (5 1 3)



Record 4
Diffraction record for Zr3Zn4. The PXRD pattern is theoretical, not measured: it uses a PBE-relaxed structure and Cu Kα (λ = 1.5418 Å).
Peak positions follow from Bragg's law for the DFT cell and can differ from measured ones.

Cell and atoms:
a = 8.1651 Å, b = 8.1651 Å, c = 4.4509 Å
α = 90.00°, β = 90.00°, γ = 120.00°
Space group P6_3/m (No. 176)
Inequivalent atoms, fractional coordinates:
1 Zr 0.1025 0.4508 0.2500 (multiplicity 6)
2 Zn 0.0434 0.2184 0.7500 (multiplicity 6)
3 Zn 0.3333 0.6667 0.7500 (multiplicity 2)

The 8 most intense peaks (2θ = 15–90°), sorted by position:
2.673 Å, rel. 29, (2 1 0)
2.291 Å, rel. 100, (2 1 1)
2.225 Å, rel. 23, (0 0 2)
1.710 Å, rel. 15, (2 1 2)
1.543 Å, rel. 16, (1 4 0)
1.297 Å, rel. 15, (2 1 3)
1.280 Å, rel. 11, (4 2 1)
1.268 Å, rel. 16, (1 4 2)



Record 5
Diffraction record for Y2ReC2. The PXRD pattern is theoretical, not measured: it uses a PBE-relaxed structure and Cu Kα (λ = 1.5418 Å).
Peak positions follow from Bragg's law for the DFT cell and can differ from measured ones.

Cell and atoms:
a = 6.5905 Å, b = 5.1189 Å, c = 9.8824 Å
α = 90.00°, β = 90.00°, γ = 90.00°
Space group Pnma (No. 62)
Inequivalent atoms, fractional coordinates:
1 Y 0.0318 0.2500 0.2162 (multiplicity 4)
2 Y 0.1803 0.2500 0.5557 (multiplicity 4)
3 Re 0.2224 0.2500 0.8651 (multiplicity 4)
4 C 0.0443 0.7500 0.2404 (multiplicity 4)
5 C 0.1785 0.7500 0.5487 (multiplicity 4)

The 8 most intense peaks (2θ = 15–90°), sorted by position:
4.545 Å, rel. 22, (0 1 1)
3.953 Å, rel. 25, (1 0 2)
3.295 Å, rel. 14, (2 0 0)
2.770 Å, rel. 66, (0 1 3)
2.668 Å, rel. 72, (2 1 1)
2.557 Å, rel. 100, (0 2 0)
1.977 Å, rel. 19, (2 0 4)
1.564 Å, rel. 22, (2 2 4)



Record 6
Diffraction record for Nd2GdTa2C6. The PXRD pattern is theoretical, not measured: it uses a PBE-relaxed structure and Cu Kα (λ = 1.5418 Å).
Peak positions follow from Bragg's law for the DFT cell and can differ from measured ones.

Cell and atoms:
a = 4.0616 Å, b = 4.0616 Å, c = 21.2234 Å
α = 90.00°, β = 90.00°, γ = 90.00°
Space group I4/mmm (No. 139)
Inequivalent atoms, fractional coordinates:
1 Nd 0.0000 0.0000 0.1863 (multiplicity 4)
2 Gd 0.0000 0.0000 0.0000 (multiplicity 2)
3 Ta 0.0000 0.0000 0.3999 (multiplicity 4)
4 C 0.0000 0.0000 0.3041 (multiplicity 4)
5 C 0.0000 0.5000 0.0768 (multiplicity 8)

The 8 most intense peaks (2θ = 15–90°), sorted by position:
2.935 Å, rel. 100, (1 0 5)
2.872 Å, rel. 51, (1 1 0)
2.122 Å, rel. 9, (0 0 10)
2.031 Å, rel. 23, (2 0 0)
1.707 Å, rel. 18, (1 1 10)
1.670 Å, rel. 39, (2 1 5)
1.467 Å, rel. 11, (2 0 10)
1.099 Å, rel. 9, (3 1 10)



Record 7
Diffraction record for Hf3AlCN. The PXRD pattern is theoretical, not measured: it uses a PBE-relaxed structure and Cu Kα (λ = 1.5418 Å).
Peak positions follow from Bragg's law for the DFT cell and can differ from measured ones.

Cell and atoms:
a = 3.2422 Å, b = 3.2422 Å, c = 19.4938 Å
α = 90.00°, β = 90.00°, γ = 120.00°
Space group P-3m1 (No. 164)
Inequivalent atoms, fractional coordinates:
1 Hf 0.0000 0.0000 0.0000 (multiplicity 1)
2 Hf 0.0000 0.0000 0.5000 (multiplicity 1)
3 Hf 0.3333 0.6667 0.1321 (multiplicity 2)
4 Hf 0.3333 0.6667 0.3674 (multiplicity 2)
5 Al 0.0000 0.0000 0.2478 (multiplicity 2)
6 C 0.3333 0.6667 0.5713 (multiplicity 2)
7 N 0.3333 0.6667 0.9340 (multiplicity 2)

The 8 most intense peaks (2θ = 15–90°), sorted by position:
2.779 Å, rel. 36, (1 0 1)
2.698 Å, rel. 18, (1 0 2)
2.578 Å, rel. 17, (1 0 3)
2.434 Å, rel. 100, (0 0 8)
2.278 Å, rel. 34, (1 0 5)
1.715 Å, rel. 16, (0 1 9)
1.621 Å, rel. 26, (1 1 0)
1.349 Å, rel. 35, (1 1 8)



Record 8
Diffraction record for Al2MoW5. The PXRD pattern is theoretical, not measured: it uses a PBE-relaxed structure and Cu Kα (λ = 1.5418 Å).
Peak positions follow from Bragg's law for the DFT cell and can differ from measured ones.

Cell and atoms:
a = 5.0100 Å, b = 5.0100 Å, c = 4.9773 Å
α = 90.00°, β = 90.00°, γ = 90.00°
Space group P-4m2 (No. 115)
Inequivalent atoms, fractional coordinates:
1 Al 0.0000 0.5000 0.2496 (multiplicity 2)
2 Mo 0.0000 0.0000 0.0000 (multiplicity 1)
3 W 0.0000 0.0000 0.5000 (multiplicity 1)
4 W 0.2501 0.5000 0.7494 (multiplicity 4)

The 8 most intense peaks (2θ = 15–90°), sorted by position:
3.533 Å, rel. 45, (1 0 1)
2.239 Å, rel. 100, (2 0 1)
2.229 Å, rel. 43, (1 0 2)
2.043 Å, rel. 29, (2 1 1)
1.443 Å, rel. 24, (2 2 2)
1.390 Å, rel. 10, (3 2 0)
1.383 Å, rel. 12, (2 0 3)
1.093 Å, rel. 12, (4 2 1)